(1)
Pr3PuS4: simulated X-ray diffraction stick pattern (Cu Kα X-rays), based on DFT lattice parameters and positions (PBE).
Neutral-atom scattering factors, no anomalous dispersion.

The 8 most intense peaks (5 to 70 degrees two-theta), in order of falling intensity:
d (Å)	two_theta	Rel. int.
2.879	31.1	100
2.036	44.5	49
3.332	26.8	42
3.316	26.9	41
1.739	52.6	21
1.733	52.8	21
1.666	55.1	13
1.658	55.4	13

```
8
Lattice="4.0862 -5.7577 0.0000 4.0862 5.7577 0.0000 0.0000 0.0000 4.0562" Properties=species:S:1:pos:R:3 pbc="T T T"
Pr 0.0000 0.0000 0.0000
Pr 2.0431 2.8789 2.0281
Pr 2.0431 -2.8789 2.0281
Pu 4.0862 0.0000 0.0000
S 4.0862 2.8288 0.0000
S 2.1162 0.0000 2.0281
S 6.0562 0.0000 2.0281
S 4.0862 -2.8288 0.0000
```

---

(2)
PrPu2ScS4: simulated X-ray diffraction stick pattern (Cu Kα X-rays), based on DFT lattice parameters and positions (PBE).
Neutral-atom scattering factors, no anomalous dispersion.

The 8 most intense peaks (5 to 70 degrees two-theta), in order of falling intensity:
d (Å)	two_theta	Rel. int.
2.784	32.2	100
1.968	46.1	48
3.222	27.7	42
3.206	27.8	42
6.443	13.7	31
3.354	26.6	23
1.682	54.6	18
1.675	54.8	14

```
8
Lattice="6.8240 0.0000 0.0000 0.0000 3.9225 0.0000 -2.2499 0.0000 6.4459" Properties=species:S:1:pos:R:3 pbc="T T T"
Pr 0.0000 0.0000 0.0000
Pu 2.2871 0.0000 3.2230
Pu 3.4120 1.9613 0.0000
Sc -1.1249 1.9613 3.2230
S -0.0004 0.0000 4.7236
S 1.1282 1.9613 1.7120
S 3.4459 1.9613 4.7340
S 4.5745 0.0000 1.7223
```

---

(3)
PrSm3Pu2S6: simulated X-ray diffraction stick pattern (Cu Kα X-rays), based on DFT lattice parameters and positions (PBE).
Neutral-atom scattering factors, no anomalous dispersion.

The 8 most intense peaks (5 to 70 degrees two-theta), in order of falling intensity:
d (Å)	two_theta	Rel. int.
2.835	31.6	100
3.271	27.3	66
2.007	45.2	37
2.002	45.3	36
1.709	53.6	26
3.281	27.2	23
1.635	56.2	19
1.417	65.9	12

```
12
Lattice="3.4679 -6.0073 0.0000 3.4679 6.0073 0.0000 -2.3086 0.0000 6.5607" Properties=species:S:1:pos:R:3 pbc="T T T"
Pr 0.0000 0.0000 0.0000
Sm 2.3137 4.0330 3.2804
Sm 2.3137 0.0000 3.2804
Sm 2.3137 -4.0330 3.2804
Pu 3.4679 2.0056 0.0000
Pu 3.4679 -2.0056 0.0000
S 1.1850 2.0484 1.6386
S 0.0575 0.0000 4.9322
S 1.1850 -2.0484 1.6386
S 3.4423 2.0484 4.9221
S 4.5698 0.0000 1.6285
S 3.4423 -2.0484 4.9221
```

---

(4)
Pr3PuSb4: simulated X-ray diffraction stick pattern (Cu Kα X-rays), based on DFT lattice parameters and positions (PBE).
Neutral-atom scattering factors, no anomalous dispersion.

The 8 most intense peaks (5 to 70 degrees two-theta), in order of falling intensity:
d (Å)	two_theta	Rel. int.
3.201	27.9	100
2.264	39.8	77
1.432	65.2	36
1.848	49.3	28
1.601	57.6	13
3.696	24.1	4
7.390	12.0	4
1.930	47.1	2

```
8
Lattice="4.5254 -6.3990 0.0000 4.5254 6.3990 0.0000 0.0000 0.0000 4.5309" Properties=species:S:1:pos:R:3 pbc="T T T"
Pr 0.0000 0.0000 0.0000
Pr 2.2627 3.1995 2.2655
Pr 2.2627 -3.1995 2.2655
Pu 4.5254 0.0000 0.0000
Sb 4.5254 3.1556 0.0000
Sb 2.3245 0.0000 2.2655
Sb 6.7263 0.0000 2.2655
Sb 4.5254 -3.1556 0.0000
```

---

(5)
Pr5PuSb4: simulated X-ray diffraction stick pattern (Cu Kα X-rays), based on DFT lattice parameters and positions (PBE).
Neutral-atom scattering factors, no anomalous dispersion.

The 8 most intense peaks (5 to 70 degrees two-theta), in order of falling intensity:
d (Å)	two_theta	Rel. int.
3.117	28.6	100
2.231	40.4	26
2.178	41.5	25
1.808	50.5	14
2.220	40.6	13
1.559	59.3	12
1.408	66.4	12
2.188	41.3	12

```
10
Lattice="9.6818 -2.2198 0.0000 9.6818 2.2198 0.0000 -2.2667 0.0000 8.4604" Properties=species:S:1:pos:R:3 pbc="T T T"
Pr 0.0000 0.0000 0.0000
Pr 5.9955 0.0000 1.2866
Pr 4.9809 0.0000 5.6702
Pr 12.1160 0.0000 2.7902
Pr 11.1013 0.0000 7.1738
Pu -1.1334 0.0000 4.2302
Sb 1.9083 0.0000 4.9872
Sb 9.0103 0.0000 2.1280
Sb 8.0865 0.0000 6.3324
Sb 15.1885 0.0000 3.4732
```

---

(6)
PrPu3Sb4: simulated X-ray diffraction stick pattern (Cu Kα X-rays), based on DFT lattice parameters and positions (PBE).
Neutral-atom scattering factors, no anomalous dispersion.

The 8 most intense peaks (5 to 70 degrees two-theta), in order of falling intensity:
d (Å)	two_theta	Rel. int.
3.154	28.3	100
2.230	40.4	52
1.410	66.3	24
1.824	50.0	14
1.817	50.2	14
3.642	24.4	13
1.577	58.5	13
2.236	40.3	13

```
16
Lattice="7.7172 0.0000 0.0000 0.0000 8.9441 0.0000 -2.5951 0.0000 7.2714" Properties=species:S:1:pos:R:3 pbc="T T T"
Pr -0.6488 1.1214 1.8179
Pr -1.9463 7.8227 5.4536
Pu -1.9463 3.3554 5.4536
Pu -0.6488 5.5887 1.8179
Pu 1.9123 1.1223 5.4536
Pu 3.2098 3.3606 1.8179
Pu 1.9123 5.5834 5.4536
Pu 3.2098 7.8217 1.8179
Sb 0.6412 3.3911 3.6612
Sb 1.9387 5.5529 0.0255
Sb -0.6037 1.1438 7.2688
Sb 0.6939 7.8002 3.6331
Sb 4.4282 1.1438 3.6383
Sb 5.7258 7.8002 0.0026
Sb 3.1834 3.3911 7.2460
Sb 4.4809 5.5529 3.6102
```

---

(7)
PrPu2Se4: simulated X-ray diffraction stick pattern (Cu Kα X-rays), based on DFT lattice parameters and positions (PBE).
Neutral-atom scattering factors, no anomalous dispersion.

The 8 most intense peaks (5 to 70 degrees two-theta), in order of falling intensity:
d (Å)	two_theta	Rel. int.
3.843	23.1	100
2.794	32.0	80
2.044	44.3	68
2.979	30.0	58
2.276	39.6	54
2.054	44.1	31
3.050	29.3	31
3.420	26.1	31

```
14
Lattice="2.0539 -6.8282 0.0000 2.0539 6.8282 0.0000 0.0000 0.0000 13.9498" Properties=species:S:1:pos:R:3 pbc="T T T"
Pr 2.0539 5.2126 10.4623
Pr 2.0539 -5.2126 3.4874
Pu 2.0539 1.8166 7.8933
Pu 2.0539 1.8166 13.0314
Pu 2.0539 -1.8166 0.9184
Pu 2.0539 -1.8166 6.0565
Se 0.0000 0.0000 0.0000
Se 0.0000 0.0000 6.9749
Se 2.0539 3.0928 1.7190
Se 2.0539 3.0928 5.2559
Se 2.0539 0.5256 10.4623
Se 2.0539 -0.5256 3.4874
Se 2.0539 -3.0928 8.6939
Se 2.0539 -3.0928 12.2308
```

---

(8)
PrPu3Se6: simulated X-ray diffraction stick pattern (Cu Kα X-rays), based on DFT lattice parameters and positions (PBE).
Neutral-atom scattering factors, no anomalous dispersion.

The 8 most intense peaks (5 to 70 degrees two-theta), in order of falling intensity:
d (Å)	two_theta	Rel. int.
3.837	23.2	100
3.583	24.8	88
3.045	29.3	81
2.239	40.3	75
2.093	43.2	61
2.751	32.5	61
4.028	22.1	56
2.202	41.0	41

```
20
Lattice="11.5169 0.0000 0.0000 0.0000 4.1865 0.0000 -3.7524 0.0000 11.4965" Properties=species:S:1:pos:R:3 pbc="T T T"
Pr -0.1752 1.0466 2.2531
Pr 7.9397 3.1399 9.2434
Pu -0.3756 1.0466 6.7007
Pu 3.6603 3.1399 0.0070
Pu 3.8080 1.0466 3.8515
Pu 3.9564 3.1399 7.6450
Pu 4.1041 1.0466 11.4895
Pu 8.1401 3.1399 4.7958
Se -0.5218 3.1399 4.6624
Se -2.2628 1.0466 11.0673
Se -0.5595 3.1399 8.5854
Se 2.1632 3.1399 2.6224
Se 2.4580 1.0466 6.3938
Se 5.1434 1.0466 1.3052
Se 2.6211 3.1399 10.1913
Se 5.3064 3.1399 5.1026
Se 5.6013 1.0466 8.8741
Se 8.3240 1.0466 2.9111
Se 10.0273 3.1399 0.4292
Se 8.2863 1.0466 6.8340
```

---

(9)
Pr5PuSe8: simulated X-ray diffraction stick pattern (Cu Kα X-rays), based on DFT lattice parameters and positions (PBE).
Neutral-atom scattering factors, no anomalous dispersion.

The 8 most intense peaks (5 to 70 degrees two-theta), in order of falling intensity:
d (Å)	two_theta	Rel. int.
2.840	31.5	100
2.400	37.5	67
3.666	24.3	34
1.458	63.9	21
1.915	47.5	18
2.010	45.1	17
1.762	51.9	14
1.833	49.7	11

```
14
Lattice="-4.4946 4.4946 4.4815 4.4946 -4.4946 4.4815 4.4946 4.4946 -4.4815" Properties=species:S:1:pos:R:3 pbc="T T T"
Pr 0.0000 0.0000 0.0000
Pr 3.3705 2.2434 -1.0915
Pr 2.2512 -1.1241 5.5729
Pr 1.1241 2.2512 3.3900
Pr 2.2434 5.6188 1.0915
Pu 4.4946 0.0000 2.2407
Se 6.0629 0.6836 -0.4525
Se 1.5879 -0.6638 2.6670
Se 2.9067 5.1584 -1.8145
Se 0.6836 2.9263 0.4525
Se 3.8309 2.9067 1.8145
Se 3.8110 1.5683 4.9340
Se -1.5683 3.8110 4.0289
Se 0.6638 1.5879 6.2959
```

---

(10)
Pr2Pu2Te2Se3: simulated X-ray diffraction stick pattern (Cu Kα X-rays), based on DFT lattice parameters and positions (PBE).
Neutral-atom scattering factors, no anomalous dispersion.

The 8 most intense peaks (5 to 70 degrees two-theta), in order of falling intensity:
d (Å)	two_theta	Rel. int.
2.863	31.2	100
2.824	31.7	29
2.024	44.8	23
2.010	45.1	22
3.622	24.6	21
1.654	55.6	21
1.813	50.3	17
4.058	21.9	16

```
9
Lattice="-2.8617 2.8617 8.1168 2.8617 -2.8617 8.1168 2.8617 2.8617 -8.1168" Properties=species:S:1:pos:R:3 pbc="T T T"
Pr 0.0000 0.0000 3.2141
Pr 0.0000 0.0000 13.0195
Pu 2.8617 0.0000 0.0000
Pu 0.0000 2.8617 0.0000
Te 0.0000 0.0000 6.4387
Te 0.0000 0.0000 9.7948
Se 0.0000 0.0000 0.0000
Se 2.8617 0.0000 4.0584
Se 0.0000 2.8617 4.0584
```

---

(11)
Pr3PuTh3Se8: simulated X-ray diffraction stick pattern (Cu Kα X-rays), based on DFT lattice parameters and positions (PBE).
Neutral-atom scattering factors, no anomalous dispersion.

The 8 most intense peaks (5 to 70 degrees two-theta), in order of falling intensity:
d (Å)	two_theta	Rel. int.
2.980	30.0	100
2.110	42.9	38
2.104	43.0	38
1.719	53.3	20
6.897	12.8	18
3.438	25.9	17
1.490	62.3	13
3.591	24.8	12

```
15
Lattice="4.2083 2.4297 6.9025 -4.2083 2.4297 6.9025 0.0000 -4.8593 6.9025" Properties=species:S:1:pos:R:3 pbc="T T T"
Pr -2.1041 -1.2148 6.9025
Pr -2.1041 1.2148 13.8050
Pr 0.0000 2.4297 6.9025
Pu 0.0000 0.0000 10.3538
Th -4.2083 0.0000 10.3538
Th -2.1041 1.2148 3.4512
Th 2.1041 1.2148 3.4513
Se -2.1368 -1.2337 12.0645
Se 0.0000 -2.4673 8.6431
Se -2.1368 1.2337 8.6431
Se 0.0000 0.0000 5.1591
Se 0.0000 0.0000 15.5484
Se 2.1368 -1.2337 12.0645
Se 0.0000 2.4673 12.0645
Se 2.1368 1.2337 8.6431
```

---

(12)
Pr2Pu3Si4: simulated X-ray diffraction stick pattern (Cu Kα X-rays), based on DFT lattice parameters and positions (PBE).
Neutral-atom scattering factors, no anomalous dispersion.

The 8 most intense peaks (5 to 70 degrees two-theta), in order of falling intensity:
d (Å)	two_theta	Rel. int.
2.677	33.5	100
2.693	33.3	89
3.309	26.9	66
2.710	33.1	61
3.068	29.1	60
3.402	26.2	59
3.879	22.9	52
2.361	38.1	46

```
18
Lattice="7.7713 0.0000 0.0000 0.0000 7.7550 0.0000 -2.2684 0.0000 7.0825" Properties=species:S:1:pos:R:3 pbc="T T T"
Pr 1.3158 1.3578 0.5117
Pr 0.1816 2.5198 4.0529
Pr 5.3213 5.2353 3.0296
Pr 4.1871 6.3973 6.5708
Pu 1.4092 5.3670 1.7513
Pu 0.2750 6.2656 5.2925
Pu 2.7515 0.0000 3.5412
Pu 3.8857 3.8775 0.0000
Pu 5.2279 1.4895 1.7899
Pu 4.0937 2.3881 5.3312
Si -1.4383 4.0972 6.1846
Si -0.3041 7.5353 2.6434
Si 1.8039 0.8598 6.2210
Si 2.9381 3.0177 2.6798
Si 2.5649 4.7373 4.4027
Si 3.6991 6.8952 0.8614
Si 5.8070 0.2197 4.4391
Si 6.9412 3.6578 0.8978
```

---

(13)
Pr3PuSi4: simulated X-ray diffraction stick pattern (Cu Kα X-rays), based on DFT lattice parameters and positions (PBE).
Neutral-atom scattering factors, no anomalous dispersion.

The 8 most intense peaks (5 to 70 degrees two-theta), in order of falling intensity:
d (Å)	two_theta	Rel. int.
3.223	27.7	100
2.639	34.0	26
3.195	27.9	24
1.850	49.3	20
2.297	39.2	19
1.733	52.8	18
2.491	36.1	17
2.113	42.8	17

```
8
Lattice="-2.1136 3.1947 7.9580 2.1136 -3.1947 7.9580 2.1136 3.1947 -7.9580" Properties=species:S:1:pos:R:3 pbc="T T T"
Pr 0.0000 0.0000 0.0000
Pr 2.1136 0.0000 4.9101
Pr 0.0000 3.1947 3.0478
Pu 0.0000 0.0000 7.9580
Si 2.1136 1.1724 -2.0513
Si 2.1136 1.1724 2.0513
Si 0.0000 2.0223 5.9067
Si 0.0000 2.0223 10.0092
```